# 1
Calculated XRD peak list of Rb3Cd4 for Cu Kα X-rays, from a structure optimized by DFT (GGA-PBE).

Peak list (10 most intense, 5° ≤ 2θ ≤ 70°, low angle first)
14.06°, d 6.299, intensity 25.5; 24.61°, d 3.617, intensity 38.1; 26.08°, d 3.417, intensity 43.5; 26.64°, d 3.347, intensity 55.4; 28.61°, d 3.120, intensity 48.6; 30.91°, d 2.893, intensity 100.0; 34.22°, d 2.621, intensity 40.6; 34.63°, d 2.590, intensity 51.7; 37.94°, d 2.371, intensity 32.1; 47.12°, d 1.929, intensity 42.3

```
data_Rb3Cd4
_chemical_formula_sum 'Rb6 Cd8'
_symmetry_space_group_name_H-M 'P 1'
_symmetry_Int_Tables_number 1
_symmetry_space_group_name_Hall 'P 1'
_cell_length_a 5.180
_cell_length_b 16.319
_cell_length_c 7.300
_cell_angle_alpha 90.00
_cell_angle_beta 110.72
_cell_angle_gamma 90.00
loop_
_atom_site_label
_atom_site_type_symbol
_atom_site_fract_x
_atom_site_fract_y
_atom_site_fract_z
_atom_site_occupancy
Rb1 Rb 0.000 0.000 0.000 1
Rb2 Rb 0.066 0.500 0.132 1
Rb3 Rb 0.301 0.147 0.603 1
Rb4 Rb 0.301 0.853 0.603 1
Rb5 Rb 0.765 0.353 0.530 1
Rb6 Rb 0.765 0.647 0.530 1
Cd1 Cd 0.033 0.250 0.067 1
Cd2 Cd 0.033 0.750 0.067 1
Cd3 Cd 0.372 0.500 0.745 1
Cd4 Cd 0.477 0.335 0.955 1
Cd5 Cd 0.477 0.665 0.955 1
Cd6 Cd 0.588 0.165 0.177 1
Cd7 Cd 0.588 0.835 0.177 1
Cd8 Cd 0.694 0.000 0.387 1
```

=====

# 2
Calculated XRD peak list of Y5Cl for Cu Kα X-rays, from a structure optimized by DFT (GGA-PBE).

Peak list (10 most intense, 5° ≤ 2θ ≤ 70°, low angle first)
27.06°, d 3.295, intensity 29.5; 29.49°, d 3.029, intensity 56.0; 30.86°, d 2.897, intensity 94.0; 31.88°, d 2.807, intensity 100.0; 34.56°, d 2.595, intensity 53.5; 38.09°, d 2.363, intensity 30.3; 50.42°, d 1.810, intensity 18.1; 51.07°, d 1.788, intensity 29.8; 60.29°, d 1.535, intensity 26.3; 61.71°, d 1.503, intensity 19.7

```
data_Y5Cl
_chemical_formula_sum 'Y5 Cl1'
_symmetry_space_group_name_H-M 'P 1'
_symmetry_Int_Tables_number 1
_symmetry_space_group_name_Hall 'P 1'
_cell_length_a 6.082
_cell_length_b 6.082
_cell_length_c 8.946
_cell_angle_alpha 105.20
_cell_angle_beta 105.20
_cell_angle_gamma 34.63
loop_
_atom_site_label
_atom_site_type_symbol
_atom_site_fract_x
_atom_site_fract_y
_atom_site_fract_z
_atom_site_occupancy
Y1 Y 0.000 0.000 0.000 1
Y2 Y 0.067 0.067 0.420 1
Y3 Y 0.307 0.307 0.170 1
Y4 Y 0.394 0.394 0.658 1
Y5 Y 0.688 0.688 0.803 1
Cl1 Cl 0.803 0.803 0.411 1
```